# Rb2DyUS4
Simulated XRD peak list, λ = 1.5418 Å (Cu Kα). Input: a structure optimized by DFT (PBE).
Lines closer than 0.1° are merged.

Lattice parameters (Å, degrees): 7.0760 4.0855 8.0646 90.00 107.00 90.00
Space group P2/m (No. 10)
Unique sites:
Rb 0.0000 0.0000 0.0000 x1
Rb 0.5000 0.5000 0.0000 x1
Dy 0.0000 0.5000 0.5000 x1
U 0.5000 0.0000 0.5000 x1
S 0.2300 0.0000 0.6930 x2
S 0.2684 0.5000 0.3071 x2

Top 10 peaks for 2θ = 5–70°, low angle first:
d_spacing	intensity	h k l
7.712	43	0 0 1
3.856	28	0 0 2
3.383	52	2 0 0
3.018	100	1 1 1
2.239	38	2 0 2
2.043	34	0 2 0
1.936	16	1 1 3
1.806	27	3 1 1
1.692	18	4 0 0
1.402	14	0 2 4

# ZrAgS2O8
Simulated XRD peak list, λ = 1.5418 Å (Cu Kα). Input: a structure optimized by DFT (PBE).
Lines closer than 0.1° are merged.

Lattice parameters (Å, degrees): 5.2423 5.2423 25.0258 90.00 90.00 120.00
Space group R-3 (No. 148, hexagonal axes)
Unique sites:
Zr 0.0000 0.0000 0.0000 x3
Ag 0.0000 0.0000 0.5000 x3
S 0.0000 0.0000 0.2613 x6
O 0.0000 0.0000 0.2038 x6
O 0.0376 0.5908 0.3826 x18

Top 10 peaks for 2θ = 5–70°, low angle first:
d_spacing	intensity	h k l
4.268	11	0 1 2
3.674	100	1 0 4
2.621	29	1 1 0
2.576	18	0 1 8
2.219	14	1 1 6
2.192	8	1 0 10
2.134	10	0 2 4
1.837	12	2 0 8
1.655	15	3 -1 4
1.632	11	2 -1 12

# MnVNi6
Simulated XRD peak list, λ = 1.5418 Å (Cu Kα). Input: a structure optimized by DFT (PBE).
Lines closer than 0.1° are merged.

Lattice parameters (Å, degrees): 3.5643 3.5643 7.1216 90.00 90.00 90.00
Space group P4/mmm (No. 123)
Unique sites:
Mn 0.0000 0.0000 0.0000 x1
V 0.0000 0.0000 0.5000 x1
Ni 0.0000 0.5000 0.2562 x4
Ni 0.5000 0.5000 0.0000 x1
Ni 0.5000 0.5000 0.5000 x1

Top 4 peaks for 2θ = 5–70°, low angle first:
d_spacing	intensity	h k l
3.563	1	1 0 0
2.519	1	1 1 0
2.057	100	1 1 2
1.782	46	2 0 0

# NdDy2GeN4
Simulated XRD peak list, λ = 1.5418 Å (Cu Kα). Input: a structure optimized by DFT (PBE).
Lines closer than 0.1° are merged.

Lattice parameters (Å, degrees): 3.5448 11.4730 11.6296 90.00 90.00 90.00
Space group Cmcm (No. 63)
Unique sites:
Nd 0.0000 0.0991 0.2500 x4
Dy 0.0000 0.3696 0.0433 x8
Ge 0.0000 0.1628 0.7500 x4
N 0.0000 0.0000 0.0000 x4
N 0.0000 0.2690 0.6263 x8
N 0.0000 0.4219 0.2500 x4

Top 10 peaks for 2θ = 5–70°, low angle first:
d_spacing	intensity	h k l
3.212	52	0 2 3
2.927	100	1 1 2
2.907	33	0 0 4
2.868	46	0 4 0
2.537	32	1 3 1
2.373	66	1 3 2
1.917	22	1 1 5
1.829	19	1 5 2
1.772	20	2 0 0
1.733	23	1 3 5

# Hf3TaSb2
Simulated XRD peak list, λ = 1.5418 Å (Cu Kα). Input: a structure optimized by DFT (PBE).
Lines closer than 0.1° are merged.

Lattice parameters (Å, degrees): 13.1177 5.8818 7.0985 90.00 105.67 90.00
Space group C2/c (No. 15)
Unique sites:
Hf 0.0000 0.2333 0.2500 x4
Hf 0.1774 0.0027 0.5890 x8
Ta 0.0000 0.2370 0.7500 x4
Sb 0.1388 0.4987 0.0692 x8

Top 10 peaks for 2θ = 5–70°, low angle first:
d_spacing	intensity	h k l
2.714	100	4 0 -2
2.666	42	2 2 0
2.229	60	2 2 -2
2.152	28	4 2 0
2.105	19	6 0 0
1.775	18	2 0 -4
1.686	17	4 2 2
1.477	14	0 2 4
1.411	14	8 2 -2
1.369	13	6 2 -4